Diffraction record for Cs2YAuI6. The powder XRD pattern is theoretical, not measured: it uses DFT lattice parameters and positions (PBE) and Cu Kα (weighted mean of Kα1 and Kα2).

Peak list (8 most intense, 10° ≤ 2θ ≤ 90°, by angle)
4.299 Å, 20.7 deg, I 24.6; 3.510 Å, 25.4 deg, I 60.5; 3.040 Å, 29.4 deg, I 100.0; 2.150 Å, 42.0 deg, I 74.8; 1.833 Å, 49.7 deg, I 27.7; 1.755 Å, 52.1 deg, I 26.5; 1.360 Å, 69.1 deg, I 34.0; 1.241 Å, 76.8 deg, I 25.4

```
Cs2YAuI6
1.0
0.000 6.080 6.080
6.080 0.000 6.080
6.080 6.080 0.000
Cs Y Au I
2 1 1 6
Cartesian
3.040 3.040 3.040
9.120 9.120 9.120
0.000 0.000 0.000
6.080 6.080 6.080
6.080 6.080 3.040
6.080 3.040 6.080
9.120 6.080 6.080
3.040 6.080 6.080
6.080 9.120 6.080
6.080 6.080 9.120
```



Diffraction record for SiO2. The powder XRD pattern is theoretical, not measured: it uses DFT lattice parameters and positions (PBE) and Cu Kα (weighted mean of Kα1 and Kα2).

Peak list (8 most intense, 10° ≤ 2θ ≤ 90°, by angle)
6.232 Å, 14.2 deg, I 40.5; 5.519 Å, 16.1 deg, I 100.0; 5.039 Å, 17.6 deg, I 34.6; 4.157 Å, 21.4 deg, I 17.8; 3.918 Å, 22.7 deg, I 54.6; 3.222 Å, 27.7 deg, I 21.6; 3.192 Å, 28.0 deg, I 40.0; 2.650 Å, 33.8 deg, I 18.2

```
SiO2
1.0
5.039 0.000 0.000
0.059 5.519 0.000
0.018 0.076 6.232
Si O
4 8
Cartesian
0.000 0.000 0.000
0.719 1.367 2.558
1.448 2.796 6.220
3.238 1.389 4.415
0.126 0.130 1.631
0.686 1.459 5.697
0.790 4.210 5.785
1.338 2.584 1.622
1.992 0.893 3.466
2.872 2.665 5.411
3.618 0.136 5.437
4.459 1.855 3.421
```